Entry 1:
Starting from DFT lattice parameters and positions (GGA-PBE), the X-ray powder pattern of U2TiCr2C4 was simulated for Cu Kα (λ = 1.5418 Å).
Peak positions follow from Bragg's law for the DFT cell and can differ from measured ones.

Top 8 peaks for 2θ from 5° to 70°, by angle:
Position (°2θ), I/Imax
16.1, 100.0
28.7, 54.5
29.4, 58.0
30.3, 55.4
32.5, 68.2
33.6, 63.6
38.0, 48.3
42.4, 68.6

Structure:
abc: 6.589 6.589 5.661
angles: 103.26 103.26 26.68
Atoms (fractional coordinates):
U 0.124 0.124 0.034
U 0.876 0.876 0.966
Ti 0.000 0.000 0.500
Cr 0.323 0.323 0.478
Cr 0.677 0.677 0.522
C 0.237 0.237 0.738
C 0.464 0.464 0.742
C 0.536 0.536 0.258
C 0.763 0.763 0.262

Entry 2:
Starting from DFT lattice parameters and positions (GGA-PBE), the X-ray powder pattern of Rb2CeCdI6 was simulated for Cu Kα (λ = 1.5418 Å).
Peak positions follow from Bragg's law for the DFT cell and can differ from measured ones.

Top 8 peaks for 2θ from 5° to 70°, by angle:
Position (°2θ), I/Imax
14.0, 50.1
24.1, 31.8
24.5, 28.6
28.1, 100.0
31.5, 26.3
39.8, 13.9
40.2, 43.2
49.4, 11.8

Structure:
abc: 9.064 12.711 8.872
angles: 90.00 90.00 90.00
Atoms (fractional coordinates):
Rb 0.250 0.050 0.214
Rb 0.250 0.450 0.214
Rb 0.750 0.550 0.786
Rb 0.750 0.950 0.786
Ce 0.250 0.250 0.738
Ce 0.750 0.750 0.262
Cd 0.250 0.750 0.753
Cd 0.750 0.250 0.247
I 0.005 0.250 0.987
I 0.019 0.250 0.477
I 0.250 0.004 0.763
I 0.250 0.496 0.763
I 0.481 0.250 0.477
I 0.495 0.250 0.987
I 0.505 0.750 0.013
I 0.519 0.750 0.523
I 0.750 0.504 0.237
I 0.750 0.996 0.237
I 0.981 0.750 0.523
I 0.995 0.750 0.013

Entry 3:
Starting from DFT lattice parameters and positions (GGA-PBE), the X-ray powder pattern of DyYAu was simulated for Cu Kα (λ = 1.5418 Å).
Peak positions follow from Bragg's law for the DFT cell and can differ from measured ones.

Top 8 peaks for 2θ from 5° to 70°, by angle:
Position (°2θ), I/Imax
21.9, 50.6
25.3, 1.9
36.1, 100.0
42.6, 28.0
52.0, 17.7
57.0, 12.0
64.9, 36.2
69.4, 9.0

Structure:
abc: 7.041 7.041 7.041
angles: 90.00 90.00 90.00
Atoms (fractional coordinates):
Dy 0.000 0.000 0.000
Dy 0.000 0.500 0.500
Dy 0.500 0.000 0.500
Dy 0.500 0.500 0.000
Y 0.000 0.000 0.500
Y 0.000 0.500 0.000
Y 0.500 0.000 0.000
Y 0.500 0.500 0.500
Au 0.250 0.250 0.250
Au 0.250 0.750 0.750
Au 0.750 0.250 0.750
Au 0.750 0.750 0.250